Structure and simulated powder diffractogram of ZrTl2W (a structure optimized by DFT (GGA-PBE); Cu Kα, 1.54184 Å).

Cell and atoms:
```
ZrTl2W
1.0
3.6885 0.0000 0.0000
0.0000 3.6885 0.0000
0.0000 0.0000 6.4945
Zr Tl W
1 2 1
Cartesian
0.0000 0.0000 0.0000
0.0000 0.0000 3.5494
1.8442 1.8442 1.8071
1.8442 1.8442 5.2793
```

Main lines, by angle (2θ = 10–90°):
- 27.82°, intensity 12, hkl 1 0 1
- 34.38°, intensity 64, hkl 1 1 0
- 36.88°, intensity 100, hkl 1 0 2
- 49.42°, intensity 23, hkl 2 0 0
- 63.23°, intensity 42, hkl 2 1 2
- 68.02°, intensity 14, hkl 1 1 4

***

Structure and simulated powder diffractogram of NbTe6Pd3 (a structure optimized by DFT (GGA-PBE); Cu Kα, 1.54184 Å).

Cell and atoms:
```
NbTe6Pd3
1.0
11.5232 0.0000 0.0000
0.0000 3.7895 0.0000
-2.8792 0.0000 11.2893
Nb Te Pd
2 12 6
Cartesian
2.1155 0.9474 0.5700
6.5285 2.8421 10.7193
-2.1203 2.8421 10.1127
0.0125 0.9474 5.4112
1.7470 2.8421 2.7851
0.4804 0.9474 9.1961
4.3267 2.8421 0.6990
3.3141 2.8421 6.8307
5.3300 0.9474 4.4586
4.3173 0.9474 10.5903
8.1637 2.8421 2.0932
6.8971 0.9474 8.5042
8.6315 2.8421 5.8781
10.7644 0.9474 1.1767
-1.8338 0.9474 7.4692
2.6885 0.9474 5.0646
2.4053 2.8421 9.3664
6.2387 0.9474 1.9229
5.9555 2.8421 6.2247
10.4778 2.8421 3.8202
```

Main lines, by angle (2θ = 10–90°):
- 30.58°, intensity 100, hkl 1 1 2
- 31.80°, intensity 46, hkl 2 0 -4
- 32.07°, intensity 47, hkl 4 0 -2
- 33.56°, intensity 43, hkl 0 1 3
- 42.78°, intensity 38, hkl 1 0 5
- 48.02°, intensity 53, hkl 0 2 0

***

Structure and simulated powder diffractogram of NiAs4Os (a structure optimized by DFT (GGA-PBE); Cu Kα, 1.54184 Å).

Cell and atoms:
```
NiAs4Os
1.0
5.9545 0.0000 0.0000
0.0000 5.9192 0.0000
-0.2581 0.0000 5.9500
Ni As Os
2 8 2
Cartesian
0.0000 0.0000 0.0000
-0.1290 2.9596 2.9750
0.5978 0.7553 2.2818
0.4687 2.2043 5.2568
2.1465 3.6681 2.2125
2.0175 5.2107 5.1875
3.6789 0.7085 0.7625
3.5499 2.2511 3.7375
5.2277 3.7149 0.6932
5.0987 5.1639 3.6682
2.8482 0.0000 2.9750
2.9772 2.9596 0.0000
```

Main lines, by angle (2θ = 10–90°):
- 30.04°, intensity 100, hkl 2 0 0
- 33.83°, intensity 66, hkl 0 2 1
- 37.60°, intensity 78, hkl 2 1 1
- 43.12°, intensity 66, hkl 2 2 0
- 50.28°, intensity 86, hkl 1 1 -3
- 51.57°, intensity 78, hkl 3 1 1

***

Structure and simulated powder diffractogram of RbGeN2O (a structure optimized by DFT (GGA-PBE); Cu Kα, 1.54184 Å).

Cell and atoms:
```
RbGeN2O
1.0
4.1248 0.0000 0.0000
0.0000 4.1248 0.0000
0.0000 0.0000 3.9729
Rb Ge N O
1 1 2 1
Cartesian
0.0000 0.0000 0.0000
2.0624 2.0624 1.9864
0.0000 2.0624 1.9864
2.0624 0.0000 1.9864
2.0624 2.0624 0.0000
```

Main lines, by angle (2θ = 10–90°):
- 30.65°, intensity 57, hkl 1 1 0
- 31.26°, intensity 100, hkl 1 0 1
- 43.90°, intensity 38, hkl 2 0 0
- 54.87°, intensity 41, hkl 2 1 1
- 56.01°, intensity 21, hkl 1 1 2
- 65.21°, intensity 21, hkl 2 0 2

***

Copy entry 3 word for word.
Structure and simulated powder diffractogram of NiAs4Os (a structure optimized by DFT (GGA-PBE); Cu Kα, 1.54184 Å).

Cell and atoms:
```
NiAs4Os
1.0
5.9545 0.0000 0.0000
0.0000 5.9192 0.0000
-0.2581 0.0000 5.9500
Ni As Os
2 8 2
Cartesian
0.0000 0.0000 0.0000
-0.1290 2.9596 2.9750
0.5978 0.7553 2.2818
0.4687 2.2043 5.2568
2.1465 3.6681 2.2125
2.0175 5.2107 5.1875
3.6789 0.7085 0.7625
3.5499 2.2511 3.7375
5.2277 3.7149 0.6932
5.0987 5.1639 3.6682
2.8482 0.0000 2.9750
2.9772 2.9596 0.0000
```

Main lines, by angle (2θ = 10–90°):
- 30.04°, intensity 100, hkl 2 0 0
- 33.83°, intensity 66, hkl 0 2 1
- 37.60°, intensity 78, hkl 2 1 1
- 43.12°, intensity 66, hkl 2 2 0
- 50.28°, intensity 86, hkl 1 1 -3
- 51.57°, intensity 78, hkl 3 1 1